# 1
Diffraction record for Pr2B. The powder diffraction line list is simulated, not measured: it uses a cell relaxed with GGA-PBE and Cu Kα X-rays.
Kinematic intensities with the Lorentz-polarization factor, no thermal factor.

Atomic structure:
a b c (Å): 6.1690 6.1690 6.1690
angles (deg): 60.00 60.00 60.00
Element x y z (fractional)
1 Pr 0.0000 0.0000 0.0000
2 Pr 0.0000 0.0000 0.5000
3 Pr 0.0000 0.5000 0.0000
4 Pr 0.5000 0.0000 0.0000
5 B 0.3750 0.3750 0.3750
6 B 0.6250 0.6250 0.6250

Main lines, by angle (2θ from 5° to 70°):
2theta	I_rel
17.61	100
34.08	70
35.65	77
41.40	36
45.31	27
54.67	24
59.98	27
63.04	20

# 2
Diffraction record for TaTlAgSeS2. The powder diffraction line list is simulated, not measured: it uses a cell relaxed with GGA-PBE and Cu Kα X-rays.
Kinematic intensities with the Lorentz-polarization factor, no thermal factor.

Atomic structure:
a b c (Å): 7.8589 7.8589 10.2765
angles (deg): 90.00 90.00 153.96
Element x y z (fractional)
1 Ta 0.0000 0.0000 0.0000
2 Ta 0.0000 0.0000 0.5000
3 Tl 0.2637 0.7363 0.7500
4 Tl 0.7363 0.2637 0.2500
5 Ag 0.4243 0.5757 0.2500
6 Ag 0.5757 0.4243 0.7500
7 Se 0.0621 0.9379 0.2500
8 Se 0.9379 0.0621 0.7500
9 S 0.3854 0.6146 0.0202
10 S 0.3854 0.6146 0.4798
11 S 0.6146 0.3854 0.5202
12 S 0.6146 0.3854 0.9798

Main lines, by angle (2θ from 5° to 70°):
2theta	I_rel
11.56	25
20.82	65
23.23	25
30.73	30
31.97	100
34.92	53
39.42	46
40.69	45
54.68	24
66.84	26

# 3
Diffraction record for ZnH20C18O14. The powder diffraction line list is simulated, not measured: it uses a cell relaxed with GGA-PBE and Cu Kα X-rays.
Kinematic intensities with the Lorentz-polarization factor, no thermal factor.

Atomic structure:
a b c (Å): 4.8223 5.7155 16.8968
angles (deg): 98.39 90.86 92.42
Element x y z (fractional)
1 Zn 0.0000 0.0000 0.0000
2 H 0.0194 0.6942 0.7701
3 H 0.1674 0.4225 0.0486
4 H 0.1700 0.3714 0.9509
5 H 0.3152 0.7580 0.2612
6 H 0.3225 0.3156 0.6741
7 H 0.3519 0.3697 0.3377
8 H 0.3839 0.8942 0.8901
9 H 0.3855 0.0934 0.4364
10 H 0.4511 0.7636 0.9627
11 H 0.4631 0.4017 0.8097
12 H 0.5369 0.5983 0.1903
13 H 0.5489 0.2364 0.0373
14 H 0.6145 0.9066 0.5636
15 H 0.6161 0.1058 0.1099
16 H 0.6481 0.6303 0.6623
17 H 0.6775 0.6844 0.3259
18 H 0.6848 0.2420 0.7388
19 H 0.8300 0.6286 0.0491
20 H 0.8326 0.5775 0.9514
21 H 0.9806 0.3058 0.2299
22 C 0.0050 0.8126 0.7252
23 C 0.0303 0.8749 0.3859
24 C 0.0469 0.7002 0.4463
25 C 0.1781 0.1647 0.6733
26 C 0.1928 0.0080 0.7290
27 C 0.2005 0.2213 0.3344
28 C 0.2117 0.7762 0.1396
29 C 0.2230 0.0655 0.3903
30 C 0.4249 0.7630 0.2048
31 C 0.5751 0.2370 0.7952
32 C 0.7770 0.9345 0.6097
33 C 0.7883 0.2238 0.8604
34 C 0.7995 0.7787 0.6656
35 C 0.8072 0.9920 0.2710
36 C 0.8220 0.8353 0.3267
37 C 0.9531 0.2998 0.5537
38 C 0.9697 0.1251 0.6141
39 C 0.9950 0.1874 0.2748
40 O 0.0384 0.5994 0.1254
41 O 0.1674 0.4358 0.5557
42 O 0.2216 0.9547 0.1034
43 O 0.2431 0.3188 0.0017
44 O 0.2678 0.7185 0.4866
45 O 0.2938 0.8089 0.9303
46 O 0.3883 0.0351 0.7895
47 O 0.6117 0.9649 0.2105
48 O 0.7062 0.1911 0.0697
49 O 0.7322 0.2815 0.5134
50 O 0.7569 0.6812 0.9983
51 O 0.7784 0.0453 0.8966
52 O 0.8326 0.5642 0.4443
53 O 0.9616 0.4006 0.8746

Main lines, by angle (2θ from 5° to 70°):
2theta	I_rel
5.29	97
10.59	45
15.69	53
17.29	33
18.42	44
24.03	17
24.17	21
24.57	20
29.78	100
38.65	15

# 4
Diffraction record for Nd3Cd4In2. The powder diffraction line list is simulated, not measured: it uses a cell relaxed with GGA-PBE and Cu Kα X-rays.
Kinematic intensities with the Lorentz-polarization factor, no thermal factor.

Atomic structure:
a b c (Å): 6.1817 6.1817 9.4521
angles (deg): 114.77 114.77 47.74
Element x y z (fractional)
1 Nd 0.0000 0.0000 0.0000
2 Nd 0.3343 0.3343 0.3295
3 Nd 0.6657 0.6657 0.6705
4 Cd 0.0751 0.0751 0.4103
5 Cd 0.2941 0.2941 0.9639
6 Cd 0.7059 0.7059 0.0361
7 Cd 0.9249 0.9249 0.5897
8 In 0.3903 0.3903 0.7248
9 In 0.6097 0.6097 0.2752

Main lines, by angle (2θ from 5° to 70°):
2theta	I_rel
32.02	93
32.16	90
35.79	100
35.90	49
48.82	19
48.96	28
50.12	15
62.15	36
63.30	15
64.46	17